The following is a computed X-ray diffraction stick pattern of KTlS2. It was derived from a structure optimized by DFT (PBE), using λ = 1.5418 Å (Cu Kα).

Cell and atoms:
Lattice parameters (Å, degrees): 9.5237 10.9695 9.3827 90.00 90.00 90.00
Space group Fdd2 (No. 43)
Unique sites:
K: 0.0000 0.0000 0.0000
Tl: 0.0000 0.0000 0.4518
S: 0.0269 0.2162 0.5467

Principal peaks in the range 2θ = 5–70°, by angle:
index, two_theta, I_rel
1 1 1, 15.52, 100
2 2 0, 24.76, 35
0 2 2, 24.98, 48
2 0 2, 26.67, 66
2 4 2, 42.65, 33
2 2 4, 46.21, 26